Simulated X-ray powder pattern of Ho3WO7 for Cu Kα, from DFT lattice parameters and positions (PBE+U).

Crystal structure
Unit cell a=6.4559 b=6.4559 c=7.4517 alpha=90.00 beta=90.00 gamma=109.01
Atoms (fractional coordinates):
Ho 0.0216 0.0216 0.0000
Ho 0.0332 0.5016 0.2538
Ho 0.4984 0.9668 0.2462
Ho 0.5016 0.0332 0.7462
Ho 0.9668 0.4984 0.7538
Ho 0.9784 0.9784 0.5000
W 0.5004 0.5004 0.0000
W 0.4996 0.4996 0.5000
O 0.1312 0.8688 0.7500
O 0.1367 0.8633 0.2500
O 0.1728 0.4172 0.9728
O 0.1821 0.4348 0.5341
O 0.4172 0.1728 0.0272
O 0.4236 0.5764 0.2500
O 0.4348 0.1821 0.4659
O 0.5652 0.8179 0.9659
O 0.5764 0.4236 0.7500
O 0.5828 0.8272 0.5272
O 0.8179 0.5652 0.0341
O 0.8272 0.5828 0.4728
O 0.8633 0.1367 0.7500
O 0.8688 0.1312 0.2500

The 12 most intense peaks (10 to 90 degrees two-theta), in order of rising 2θ:
| Position (°2θ) | d/Å | I/Imax |
| --- | --- | --- |
| 29.3 | 3.052 | 100 |
| 29.4 | 3.040 | 100 |
| 33.9 | 2.642 | 49 |
| 34.1 | 2.628 | 23 |
| 48.6 | 1.874 | 13 |
| 48.9 | 1.863 | 73 |
| 57.8 | 1.595 | 25 |
| 58.0 | 1.590 | 29 |
| 58.2 | 1.586 | 25 |
| 61.0 | 1.520 | 10 |
| 79.1 | 1.210 | 9 |
| 79.3 | 1.208 | 16 |